Record 1
Theoretical XRD peak list of CeGaNi for CuKα, from a structure optimized by DFT (GGA-PBE).
No peak broadening, texture or thermal motion is included.

Principal peaks in the range 10 to 90 degrees two-theta, low angle first:
2θ (°)	d/Å	I/Imax
34.08	2.631	100.0
35.28	2.544	33.9
37.02	2.428	64.3
37.53	2.396	81.0
39.67	2.272	28.5
46.19	1.966	45.2

Atomic structure:
abc: 12.3517 3.9310 6.9335
angles: 90.00 90.00 90.00
Sites, in units of the cell vectors:
Ce 0.0400 0.0000 0.2410
Ce 0.2500 0.0000 0.6112
Ce 0.4600 0.0000 0.2410
Ce 0.5400 0.0000 0.7590
Ce 0.7500 0.0000 0.3888
Ce 0.9600 0.0000 0.7590
Ga 0.1376 0.5000 0.9137
Ga 0.2500 0.5000 0.2696
Ga 0.3624 0.5000 0.9137
Ga 0.6376 0.5000 0.0863
Ga 0.7500 0.5000 0.7304
Ga 0.8624 0.5000 0.0863
Ni 0.0983 0.5000 0.5435
Ni 0.2500 0.0000 0.0359
Ni 0.4017 0.5000 0.5435
Ni 0.5983 0.5000 0.4565
Ni 0.7500 0.0000 0.9641
Ni 0.9017 0.5000 0.4565

Record 2
Theoretical XRD peak list of Cs3ThSe3 for CuKα, from a structure optimized by DFT (GGA-PBE).
No peak broadening, texture or thermal motion is included.

Principal peaks in the range 10 to 90 degrees two-theta, low angle first:
2θ (°)	d/Å	I/Imax
13.65	6.489	73.0
21.52	4.128	68.0
22.80	3.899	74.5
24.80	3.590	80.3
27.84	3.205	100.0
29.31	3.047	72.0

Atomic structure:
abc: 9.0871 9.0871 8.9439
angles: 94.93 94.93 112.63
Sites, in units of the cell vectors:
Cs 0.1766 0.8234 0.0000
Cs 0.2614 0.7386 0.5000
Cs 0.3775 0.3775 0.1523
Cs 0.6225 0.6225 0.8477
Cs 0.7386 0.2614 0.5000
Cs 0.8234 0.1766 0.0000
Th 0.1970 0.1970 0.6350
Th 0.8030 0.8030 0.3650
Se 0.0786 0.0786 0.3150
Se 0.1530 0.4516 0.7853
Se 0.4516 0.1530 0.7853
Se 0.5484 0.8470 0.2147
Se 0.8470 0.5484 0.2147
Se 0.9214 0.9214 0.6850

Record 3
Theoretical XRD peak list of NpU3N7 for CuKα, from a structure optimized by DFT (GGA-PBE).
No peak broadening, texture or thermal motion is included.

Principal peaks in the range 10 to 90 degrees two-theta, low angle first:
2θ (°)	d/Å	I/Imax
29.09	3.070	100.0
29.34	3.044	98.7
33.90	2.644	54.8
48.61	1.873	57.6
57.59	1.601	43.6
58.03	1.590	30.2

Atomic structure:
abc: 6.5054 6.5054 7.4320
angles: 90.00 90.00 109.31
Sites, in units of the cell vectors:
Np 0.0000 0.0000 0.0000
Np 0.0000 0.0000 0.5000
U 0.0046 0.5242 0.7500
U 0.4758 0.9954 0.7500
U 0.5000 0.5000 0.0000
U 0.5000 0.5000 0.5000
U 0.5242 0.0046 0.2500
U 0.9954 0.4758 0.2500
N 0.1012 0.3538 0.5226
N 0.1012 0.3538 0.9774
N 0.1023 0.8977 0.7500
N 0.3538 0.1012 0.0226
N 0.3538 0.1012 0.4774
N 0.3648 0.6352 0.7500
N 0.3679 0.6321 0.2500
N 0.6321 0.3679 0.7500
N 0.6352 0.3648 0.2500
N 0.6462 0.8988 0.5226
N 0.6462 0.8988 0.9774
N 0.8977 0.1023 0.2500
N 0.8988 0.6462 0.0226
N 0.8988 0.6462 0.4774

Record 4
Theoretical XRD peak list of ErCoIr for CuKα, from a structure optimized by DFT (GGA-PBE).
No peak broadening, texture or thermal motion is included.

Principal peaks in the range 10 to 90 degrees two-theta, low angle first:
2θ (°)	d/Å	I/Imax
34.68	2.587	42.1
35.72	2.513	30.4
39.96	2.256	100.0
41.29	2.186	42.5
41.55	2.174	29.1
73.18	1.293	30.3

Atomic structure:
abc: 5.1795 5.1795 5.1795
angles: 121.94 117.37 90.64
Sites, in units of the cell vectors:
Er 0.3714 0.1214 0.2500
Er 0.6286 0.8786 0.7500
Co 0.0000 0.0000 0.5000
Co 0.0000 0.5000 0.0000
Ir 0.0000 0.5000 0.5000
Ir 0.5000 0.5000 0.0000

Record 5
Theoretical XRD peak list of Cu3SbF12 for CuKα, from a structure optimized by DFT (GGA-PBE).
No peak broadening, texture or thermal motion is included.

Principal peaks in the range 10 to 90 degrees two-theta, low angle first:
2θ (°)	d/Å	I/Imax
22.68	3.921	100.0
32.29	2.773	29.5
46.31	1.961	25.7
52.16	1.754	37.5
67.57	1.386	13.9
72.29	1.307	15.9

Atomic structure:
abc: 6.7917 6.7917 6.7917
angles: 109.47 109.47 109.47
Sites, in units of the cell vectors:
Cu 0.0000 0.5000 0.5000
Cu 0.5000 0.0000 0.5000
Cu 0.5000 0.5000 0.0000
Sb 0.0000 0.0000 0.0000
F 0.0000 0.2431 0.2431
F 0.0000 0.7569 0.7569
F 0.2431 0.0000 0.2431
F 0.2431 0.2431 0.0000
F 0.2500 0.5000 0.7500
F 0.2500 0.7500 0.5000
F 0.5000 0.2500 0.7500
F 0.5000 0.7500 0.2500
F 0.7500 0.2500 0.5000
F 0.7500 0.5000 0.2500
F 0.7569 0.0000 0.7569
F 0.7569 0.7569 0.0000

Record 6
Theoretical XRD peak list of La2In2SnRh5 for CuKα, from a structure optimized by DFT (GGA-PBE).
No peak broadening, texture or thermal motion is included.

Principal peaks in the range 10 to 90 degrees two-theta, low angle first:
2θ (°)	d/Å	I/Imax
34.25	2.618	18.4
35.65	2.518	34.0
36.44	2.466	100.0
36.72	2.447	18.1
39.52	2.280	30.4
48.78	1.867	19.3

Atomic structure:
abc: 10.3836 10.3836 3.7341
angles: 90.00 90.00 90.00
Sites, in units of the cell vectors:
La 0.1714 0.3286 0.0000
La 0.3286 0.8286 0.0000
La 0.6714 0.1714 0.0000
La 0.8286 0.6714 0.0000
In 0.1268 0.6268 0.0000
In 0.3732 0.1268 0.0000
In 0.6268 0.8732 0.0000
In 0.8732 0.3732 0.0000
Sn 0.0000 0.0000 0.0000
Sn 0.5000 0.5000 0.0000
Rh 0.0000 0.5000 0.5000
Rh 0.0606 0.8024 0.5000
Rh 0.1976 0.0606 0.5000
Rh 0.3024 0.5606 0.5000
Rh 0.4394 0.3024 0.5000
Rh 0.5000 0.0000 0.5000
Rh 0.5606 0.6976 0.5000
Rh 0.6976 0.4394 0.5000
Rh 0.8024 0.9394 0.5000
Rh 0.9394 0.1976 0.5000